For MgNb2S4Cl4, a DFT-relaxed cell (GGA-PBE, the Materials Project) gives the calculated XRD peak list in this record (copper Kα).

Principal peaks in the range 2θ from 15° to 90°, by intensity:
2theta, I (rel.)
35.76, 100
19.09, 82
41.01, 78
17.06, 73
28.62, 55
44.77, 40

Cell and atoms:
Cell: 6.6603 6.6603 6.7945 Å, 96.88 96.88 126.50°
Sites, in units of the cell vectors:
1 Mg 0.0000 0.0000 0.0000
2 Nb 0.4558 0.5442 0.5000
3 Nb 0.6928 0.3072 0.5000
4 S 0.2466 0.0999 0.6064
5 S 0.4547 0.3056 0.1935
6 S 0.6944 0.5453 0.8065
7 S 0.9001 0.7534 0.3936
8 Cl 0.1618 0.5684 0.7101
9 Cl 0.4316 0.8382 0.2899
10 Cl 0.7229 0.0180 0.7341
11 Cl 0.9820 0.2771 0.2659